Record 1
Diffraction record for GaSb2Te5. The powder XRD pattern is calculated, not measured: it uses a PBE-relaxed structure and Cu Kα, 1.54184 Å.

The 10 most intense peaks (2θ = 10–90°), in order of falling intensity:
- 28.93 deg, I = 100.0
- 32.89 deg, I = 84.4
- 44.36 deg, I = 73.0
- 24.88 deg, I = 66.0
- 38.52 deg, I = 49.1
- 15.59 deg, I = 34.9
- 12.17 deg, I = 29.1
- 23.33 deg, I = 27.2
- 31.51 deg, I = 24.4
- 37.11 deg, I = 23.1

Structure:
```
GaSb2Te5
1.0
3.0866 -7.2699 0.0000
3.0866 7.2699 0.0000
0.0000 0.0000 12.3320
Ga Sb Te
2 4 10
Cartesian
3.0866 4.1849 9.2490
3.0866 -4.1849 3.0830
3.0866 4.6988 0.8438
3.0866 4.6988 5.3222
3.0866 -4.6988 7.0097
3.0866 -4.6988 11.4882
3.0866 6.7554 7.7164
3.0866 6.7554 10.7815
3.0866 2.7669 3.0830
3.0866 2.3286 7.1059
3.0866 2.3286 11.3920
3.0866 -2.3286 0.9399
3.0866 -2.3286 5.2260
3.0866 -2.7669 9.2490
3.0866 -6.7554 1.5505
3.0866 -6.7554 4.6155
```

Record 2
Diffraction record for Th4GaSb. The powder XRD pattern is calculated, not measured: it uses a PBE-relaxed structure and Cu Kα, 1.54184 Å.

The 10 most intense peaks (2θ = 10–90°), in order of falling intensity:
- 30.12 deg, I = 100.0
- 37.74 deg, I = 26.7
- 51.56 deg, I = 23.2
- 37.38 deg, I = 19.6
- 59.88 deg, I = 17.6
- 33.23 deg, I = 17.3
- 52.12 deg, I = 15.0
- 28.56 deg, I = 15.0
- 68.72 deg, I = 12.2
- 57.07 deg, I = 10.8

Structure:
```
Th4GaSb
1.0
7.5382 0.0000 0.0000
0.0000 7.5382 0.0000
0.0000 0.0000 6.2511
Th Ga Sb
8 2 2
Cartesian
1.1441 2.5135 0.0000
1.1441 5.0248 3.1256
2.5135 1.1441 3.1256
2.5135 6.3941 0.0000
5.0248 1.1441 0.0000
5.0248 6.3941 3.1256
6.3941 2.5135 3.1256
6.3941 5.0248 0.0000
0.0000 0.0000 1.5628
0.0000 0.0000 4.6883
3.7691 3.7691 1.5628
3.7691 3.7691 4.6883
```

Record 3
Diffraction record for Ti4Ga2Sb. The powder XRD pattern is calculated, not measured: it uses a PBE-relaxed structure and Cu Kα, 1.54184 Å.

The 10 most intense peaks (2θ = 10–90°), in order of falling intensity:
- 39.36 deg, I = 100.0
- 40.98 deg, I = 77.8
- 37.86 deg, I = 72.5
- 35.73 deg, I = 35.8
- 25.80 deg, I = 33.5
- 35.19 deg, I = 32.6
- 39.99 deg, I = 28.5
- 69.37 deg, I = 27.4
- 53.05 deg, I = 26.0
- 27.22 deg, I = 24.6

Structure:
```
Ti4Ga2Sb
1.0
2.3766 -3.9175 0.0000
2.3766 3.9175 0.0000
0.0000 0.0000 13.1040
Ti Ga Sb
8 4 2
Cartesian
0.0000 0.0000 0.0000
0.0000 0.0000 6.5520
2.3766 1.5383 8.4831
2.3766 1.5383 11.1729
2.3766 0.9768 3.2760
2.3766 -0.9768 9.8280
2.3766 -1.5383 1.9311
2.3766 -1.5383 4.6209
2.3766 1.1925 0.6917
2.3766 1.1925 5.8602
2.3766 -1.1925 7.2437
2.3766 -1.1925 12.4122
2.3766 3.6666 3.2760
2.3766 -3.6666 9.8280
```